Record 1
Computed X-ray powder pattern
Compound: Na3Fe3P4O16
Radiation: Cu Kα, 1.54184 Å
Structure: DFT lattice parameters and positions (PBE+U)
Intensities are scaled so that the largest is 100.

Cell and atoms:
Cell lengths 19.826, 6.471, 10.743 Å; angles 90.00, 91.80, 90.00 degrees
Space group C2/c (No. 15)
Inequivalent atoms, fractional coordinates:
Na 0.000 0.129 0.250 x4
Na 0.083 0.359 0.974 x8
Fe 0.157 0.022 0.747 x8
Fe 0.250 0.250 0.500 x4
P 0.088 0.160 0.490 x8
P 0.202 0.481 0.243 x8
O 0.026 0.292 0.460 x8
O 0.085 0.040 0.617 x8
O 0.095 0.009 0.886 x8
O 0.152 0.298 0.494 x8
O 0.157 0.333 0.774 x8
O 0.158 0.292 0.214 x8
O 0.244 0.054 0.646 x8
O 0.246 0.021 0.364 x8

Largest 10 diffraction maxima, low angle first, 10 to 90 degrees two-theta:
- hkl 1 1 0, 2θ 14.4, I = 52.5
- hkl 1 1 -1, 2θ 16.5, I = 60.5
- hkl 1 1 1, 2θ 16.7, I = 34.0
- hkl 2 0 -2, 2θ 18.5, I = 19.8
- hkl 2 0 2, 2θ 19.0, I = 32.1
- hkl 1 1 3, 2θ 29.0, I = 20.2
- hkl 6 0 -2, 2θ 31.3, I = 41.3
- hkl 6 0 2, 2θ 32.3, I = 100.0
- hkl 0 0 4, 2θ 33.4, I = 48.9
- hkl 6 2 -4, 2θ 51.6, I = 18.3

***

Record 2
Computed X-ray powder pattern
Compound: MgFe4P12O36
Radiation: Cu Kα, 1.54184 Å
Structure: DFT lattice parameters and positions (PBE+U)
Intensities are scaled so that the largest is 100.

Cell and atoms:
Cell lengths 8.693, 8.722, 8.867 Å; angles 91.87, 90.97, 90.62 degrees
Space group P1 (No. 1)
Inequivalent atoms, fractional coordinates:
Mg 0.000 0.000 0.000 x1
Fe 0.251 0.832 0.129 x1
Fe 0.449 0.354 0.796 x1
Fe 0.730 0.112 0.313 x1
Fe 0.942 0.616 0.589 x1
P 0.083 0.312 0.733 x1
P 0.098 0.176 0.282 x1
P 0.258 0.035 0.752 x1
P 0.280 0.776 0.516 x1
P 0.408 0.281 0.396 x1
P 0.413 0.507 0.139 x1
P 0.577 0.659 0.643 x1
P 0.605 0.787 0.129 x1
P 0.763 0.937 0.638 x1
P 0.797 0.190 0.882 x1
P 0.893 0.666 0.992 x1
P 0.909 0.450 0.258 x1
O 0.000 0.787 0.068 x1
O 0.056 0.343 0.220 x1
O 0.132 0.144 0.672 x1
O 0.158 0.082 0.147 x1
O 0.168 0.675 0.596 x1
O 0.174 0.943 0.866 x1
O 0.220 0.393 0.805 x1
O 0.233 0.215 0.399 x1
O 0.248 0.823 0.359 x1
O 0.274 0.598 0.100 x1
O 0.314 0.932 0.615 x1
O 0.387 0.433 0.300 x1
O 0.394 0.131 0.807 x1
O 0.443 0.330 0.558 x1
O 0.448 0.699 0.518 x1
O 0.464 0.388 0.024 x1
O 0.469 0.861 0.053 x1
O 0.501 0.166 0.311 x1
O 0.503 0.576 0.770 x1
O 0.556 0.621 0.188 x1
O 0.630 0.828 0.705 x1
O 0.675 0.286 0.816 x1
O 0.692 0.875 0.250 x1
O 0.696 0.053 0.539 x1
O 0.711 0.583 0.567 x1
O 0.723 0.736 0.996 x1
O 0.773 0.354 0.294 x1
O 0.806 0.135 0.042 x1
O 0.824 0.024 0.794 x1
O 0.886 0.518 0.091 x1
O 0.896 0.839 0.590 x1
O 0.924 0.621 0.831 x1
O 0.958 0.581 0.365 x1
O 0.966 0.105 0.360 x1
O 0.967 0.266 0.867 x1
O 0.993 0.390 0.612 x1

Largest 10 diffraction maxima, low angle first, 10 to 90 degrees two-theta:
- hkl 1 -1 1, 2θ 17.4, I = 22.1
- hkl 0 0 2, 2θ 20.0, I = 16.2
- hkl 0 1 -2, 2θ 22.2, I = 55.3
- hkl 0 1 2, 2θ 22.8, I = 100.0
- hkl 2 1 0, 2θ 23.0, I = 55.2
- hkl 2 1 -1, 2θ 24.8, I = 25.6
- hkl 2 -2 1, 2θ 30.5, I = 17.4
- hkl 0 3 -1, 2θ 32.1, I = 31.8
- hkl 3 -1 0, 2θ 32.5, I = 24.3
- hkl 3 1 0, 2θ 32.7, I = 18.5

***

Record 3
Computed X-ray powder pattern
Compound: Li6Mn3P6WO24
Radiation: Cu Kα, 1.54184 Å
Structure: DFT lattice parameters and positions (PBE+U)
Intensities are scaled so that the largest is 100.

Cell and atoms:
Cell lengths 8.782, 8.825, 8.855 Å; angles 60.13, 61.30, 60.93 degrees
Space group P1 (No. 1)
Inequivalent atoms, fractional coordinates:
Li 0.000 0.000 0.000 x1
Li 0.134 0.818 0.368 x1
Li 0.334 0.147 0.843 x1
Li 0.524 0.515 0.557 x1
Li 0.664 0.862 0.248 x1
Li 0.815 0.338 0.166 x1
Mn 0.156 0.160 0.184 x1
Mn 0.644 0.652 0.674 x1
Mn 0.862 0.856 0.875 x1
P 0.037 0.459 0.770 x1
P 0.250 0.944 0.583 x1
P 0.455 0.759 0.079 x1
P 0.547 0.261 0.973 x1
P 0.742 0.042 0.479 x1
P 0.939 0.556 0.273 x1
W 0.344 0.359 0.378 x1
O 0.033 0.624 0.787 x1
O 0.040 0.281 0.943 x1
O 0.097 0.954 0.762 x1
O 0.100 0.489 0.349 x1
O 0.192 0.962 0.435 x1
O 0.236 0.393 0.625 x1
O 0.273 0.926 0.080 x1
O 0.319 0.114 0.504 x1
O 0.390 0.601 0.271 x1
O 0.398 0.207 0.987 x1
O 0.418 0.765 0.599 x1
O 0.469 0.338 0.134 x1
O 0.520 0.700 0.919 x1
O 0.580 0.418 0.789 x1
O 0.593 0.241 0.419 x1
O 0.604 0.788 0.095 x1
O 0.691 0.889 0.493 x1
O 0.718 0.094 0.006 x1
O 0.748 0.019 0.657 x1
O 0.752 0.581 0.424 x1
O 0.886 0.505 0.699 x1
O 0.916 0.058 0.310 x1
O 0.942 0.745 0.123 x1
O 0.970 0.410 0.206 x1

Largest 10 diffraction maxima, low angle first, 10 to 90 degrees two-theta:
- hkl 0 0 1, 2θ 12.2, I = 57.1
- hkl 1 1 0, 2θ 14.2, I = 57.1
- hkl 1 0 -1, 2θ 19.8, I = 25.2
- hkl 1 -1 0, 2θ 19.9, I = 28.2
- hkl 1 2 1, 2θ 20.1, I = 100.0
- hkl 2 1 1, 2θ 20.2, I = 35.2
- hkl 0 1 2, 2θ 23.2, I = 46.5
- hkl 2 0 1, 2θ 23.6, I = 84.4
- hkl 2 3 1, 2θ 32.2, I = 45.9
- hkl 1 -2 1, 2θ 35.1, I = 28.2

***

Record 4
Computed X-ray powder pattern
Compound: NaSrTbFeO6
Radiation: Cu Kα, 1.54184 Å
Structure: DFT lattice parameters and positions (PBE+U)
Intensities are scaled so that the largest is 100.

Cell and atoms:
Cell lengths 8.137, 8.137, 8.137 Å; angles 90.00, 90.00, 90.00 degrees
Space group F-43m (No. 216)
Inequivalent atoms, fractional coordinates:
Na 0.000 0.000 0.000 x4
Sr 0.000 0.000 0.500 x4
Tb 0.250 0.250 0.750 x4
Fe 0.250 0.250 0.250 x4
O 0.021 0.250 0.250 x24

Largest 10 diffraction maxima, low angle first, 10 to 90 degrees two-theta:
- hkl 1 1 1, 2θ 18.9, I = 27.2
- hkl 2 0 0, 2θ 21.8, I = 27.4
- hkl 2 2 0, 2θ 31.1, I = 100.0
- hkl 3 1 1, 2θ 36.6, I = 21.1
- hkl 4 0 0, 2θ 44.5, I = 36.0
- hkl 3 3 1, 2θ 48.8, I = 11.8
- hkl 4 2 0, 2θ 50.1, I = 10.0
- hkl 4 2 2, 2θ 55.3, I = 38.5
- hkl 4 4 0, 2θ 64.8, I = 20.9
- hkl 6 2 0, 2θ 73.6, I = 17.6

***

Record 5
Computed X-ray powder pattern
Compound: Ti3Fe2P6WO24
Radiation: Cu Kα, 1.54184 Å
Structure: DFT lattice parameters and positions (PBE+U)
Intensities are scaled so that the largest is 100.

Cell and atoms:
Cell lengths 8.7455, 8.7455, 20.9865 Å; angles 90.00, 90.00, 120.00 degrees
Space group R3 (No. 146, hexagonal axes)
Inequivalent atoms, fractional coordinates:
Ti 0.0000 0.0000 0.0000 x3
Ti 0.0000 0.0000 0.2112 x3
Ti 0.0000 0.0000 0.7103 x3
Fe 0.0000 0.0000 0.3530 x3
Fe 0.0000 0.0000 0.8563 x3
P 0.0003 0.2972 0.6060 x9
P 0.0458 0.6733 0.7713 x9
W 0.0000 0.0000 0.4948 x3
O 0.0038 0.1925 0.6653 x9
O 0.0039 0.8103 0.1653 x9
O 0.0175 0.1832 0.2800 x9
O 0.0248 0.8393 0.7793 x9
O 0.1265 0.4589 0.2113 x9
O 0.1556 0.6844 0.7125 x9
O 0.1581 0.6860 0.0930 x9
O 0.1659 0.4871 0.6019 x9

Largest 10 diffraction maxima, low angle first, 10 to 90 degrees two-theta:
- hkl 1 0 1, 2θ 12.4, I = 29.2
- hkl 0 1 2, 2θ 14.4, I = 22.6
- hkl 1 1 0, 2θ 20.3, I = 100.0
- hkl 1 0 4, 2θ 20.6, I = 24.5
- hkl 2 -1 3, 2θ 24.0, I = 83.4
- hkl 1 1 6, 2θ 32.8, I = 68.2
- hkl 3 0 0, 2θ 35.6, I = 40.1
- hkl 1 2 8, 2θ 47.0, I = 32.7
- hkl 2 2 6, 2θ 49.1, I = 24.7
- hkl 1 4 0, 2θ 55.6, I = 25.1